The following is a calculated X-ray powder pattern of CeHf2S6. It was derived from the PBE geometry in Alexandria, using λ = 1.5418 Å (Cu Kα).
Kinematic intensities with the Lorentz-polarization factor, no thermal factor.

Crystal structure
```
data_CeHf2S6
_chemical_formula_sum 'Ce2 Hf4 S12'
_space_group_name_H-M_alt 'C 1 2/m 1'
_space_group_IT_number 12
_space_group_name_Hall '-C 2y'
_cell_length_a 12.9344
_cell_length_b 4.8031
_cell_length_c 8.7346
_cell_angle_alpha 90.00
_cell_angle_beta 125.45
_cell_angle_gamma 90.00
loop_
_atom_site_label
_atom_site_type_symbol
_atom_site_fract_x
_atom_site_fract_y
_atom_site_fract_z
Ce1 Ce 0.0000 0.0000 0.0000
Hf1 Hf 0.1778 0.0000 0.6086
S1 S 0.0357 0.0000 0.7105
S2 S 0.1368 0.5000 0.0604
S3 S 0.2414 0.5000 0.6152
```

Most intense lines, 15 to 90 degrees two-theta, sorted by position:
- hkl 1 1 0, 20.32 deg, intensity 100.0
- hkl 2 0 -2, 20.47 deg, intensity 66.5
- hkl 1 1 -1, 21.14 deg, intensity 46.5
- hkl 2 0 1, 26.24 deg, intensity 73.6
- hkl 3 1 -1, 27.89 deg, intensity 69.6
- hkl 0 2 0, 37.45 deg, intensity 51.0
- hkl 3 1 1, 39.33 deg, intensity 44.3
- hkl 5 1 -3, 41.81 deg, intensity 63.1